No. 1
Structure and simulated XRD peak list of DyH3O3 (DFT lattice parameters and positions (GGA-PBE); CuKα).

Structure:
a b c (Å): 6.3584 6.3584 3.5436
angles (deg): 90.00 90.00 120.00
Space group P6_3/m (No. 176)
Symmetry-distinct sites (fractional):
Dy: 0.3333 0.6667 0.2500 x2
H: 0.1395 0.8592 0.7500 x6
O: 0.0851 0.3977 0.7500 x6

Largest 10 diffraction maxima, sorted by position, 2θ from 15° to 90°:
h k l  2theta  intensity
1 0 0  16.10  100
1 1 0  28.07  73
1 0 1  29.99  97
2 0 0  32.52  17
2 0 1  41.54  67
3 0 0  49.67  25
2 1 1  50.88  64
1 1 2  59.75  19
1 3 1  66.69  21
2 3 1  80.76  18

---

No. 2
Structure and simulated XRD peak list of DyP2H5O10 (DFT lattice parameters and positions (GGA-PBE); CuKα).

Structure:
a b c (Å): 6.4527 6.9517 10.0020
angles (deg): 81.50 81.34 88.80
Space group P1 (No. 1)
Symmetry-distinct sites (fractional):
Dy: 0.0000 0.0000 0.0000 x1
Dy: 0.2615 0.4789 0.0820 x1
P: 0.4357 0.9719 0.1061 x1
P: 0.5731 0.6008 0.7506 x1
P: 0.6888 0.8791 0.3309 x1
P: 0.8256 0.5065 0.9757 x1
H: 0.0053 0.0457 0.6978 x1
H: 0.2472 0.4558 0.3843 x1
H: 0.3548 0.2246 0.8063 x1
H: 0.3981 0.0059 0.7769 x1
H: 0.4794 0.5356 0.3291 x1
H: 0.6084 0.9157 0.5529 x1
H: 0.6539 0.5639 0.5290 x1
H: 0.7815 0.9462 0.7540 x1
H: 0.8629 0.4736 0.3045 x1
H: 0.9100 0.2544 0.2767 x1
O: 0.1275 0.7525 0.5157 x1
O: 0.1349 0.9303 0.5111 x1
O: 0.2889 0.0977 0.8092 x1
O: 0.2920 0.1512 0.1004 x1
O: 0.2962 0.8090 0.0778 x1
O: 0.3578 0.4699 0.3059 x1
O: 0.3881 0.5093 0.8494 x1
O: 0.4753 0.9184 0.2637 x1
O: 0.5654 0.8211 0.7063 x1
O: 0.6101 0.4884 0.6244 x1
O: 0.6169 0.4816 0.0671 x1
O: 0.6443 0.9958 0.0149 x1
O: 0.6497 0.9913 0.4571 x1
O: 0.6987 0.6590 0.3751 x1
O: 0.7868 0.5593 0.8178 x1
O: 0.8734 0.9722 0.2325 x1
O: 0.9013 0.0130 0.7787 x1
O: 0.9642 0.6697 0.0044 x1
O: 0.9701 0.3277 0.9819 x1
O: 0.9738 0.3824 0.2733 x1

Largest 10 diffraction maxima, sorted by position, 2θ from 15° to 90°:
h k l  2theta  intensity
1 0 -1  17.70  77
0 0 2  18.14  57
1 -1 0  18.97  66
1 1 1  19.27  57
1 -1 1  20.96  55
1 0 -2  24.53  87
0 2 0  25.92  100
0 2 1  26.19  94
2 1 0  30.91  49
2 1 2  32.70  79

---

No. 3
Structure and simulated XRD peak list of Dy2H4S3O12 (DFT lattice parameters and positions (GGA-PBE); CuKα).

Structure:
a b c (Å): 11.7367 6.8329 12.8834
angles (deg): 90.00 101.73 90.00
Space group C2/c (No. 15)
Symmetry-distinct sites (fractional):
Dy: 0.2023 0.0134 0.1741 x8
H: 0.0083 0.2942 0.3531 x8
H: 0.0463 0.1016 0.4170 x8
S: 0.0000 0.3293 0.7500 x4
S: 0.2218 0.4751 0.5778 x8
O: 0.0227 0.1771 0.1181 x8
O: 0.0455 0.2059 0.6733 x8
O: 0.0936 0.4622 0.8080 x8
O: 0.1880 0.0053 0.4931 x8
O: 0.2256 0.1887 0.3405 x8
O: 0.2446 0.3497 0.1567 x8

Largest 10 diffraction maxima, sorted by position, 2θ from 15° to 90°:
h k l  2theta  intensity
2 0 0  15.42  100
2 0 -2  18.66  32
1 1 -2  19.55  32
1 1 2  21.72  33
0 2 0  26.08  36
3 1 0  26.68  34
2 2 0  30.44  55
1 1 -4  30.76  66
1 1 4  33.62  29
1 3 4  51.02  25